Starting from a crystal structure in Alexandria, relaxed with PBE, the powder diffraction line list of CsTl4Hg6 was computed for λ = 1.5418 Å (Cu Kα).
Kinematic intensities with the Lorentz-polarization factor, no thermal factor.

Atomic structure:
Cell lengths 8.879, 8.879, 5.227 Å; angles 90.00, 90.00, 120.00 degrees
Atoms (fractional coordinates):
Cs: 0.000 0.000 0.000
Tl: 0.137 0.411 0.500
Tl: 0.274 0.863 0.500
Tl: 0.589 0.726 0.500
Tl: 0.667 0.333 0.000
Hg: 0.090 0.598 0.000
Hg: 0.402 0.259 0.500
Hg: 0.402 0.492 0.000
Hg: 0.508 0.910 0.000
Hg: 0.741 0.143 0.500
Hg: 0.857 0.598 0.500

Main lines, in order of rising 2θ (10 to 90 degrees two-theta):
d = 7.690 Å, 11.51 deg, I 21.3; d = 3.384 Å, 26.34 deg, I 27.4; d = 3.097 Å, 28.83 deg, I 34.9; d = 2.906 Å, 30.76 deg, I 38.1; d = 2.614 Å, 34.31 deg, I 31.7; d = 2.540 Å, 35.33 deg, I 100.0; d = 1.943 Å, 46.74 deg, I 24.5; d = 1.678 Å, 54.70 deg, I 22.5; d = 1.494 Å, 62.11 deg, I 20.1; d = 1.412 Å, 66.18 deg, I 25.6

Starting from a crystal structure in Alexandria, relaxed with PBE, the powder diffraction line list of CsTl2Hg8 was computed for λ = 1.5418 Å (Cu Kα).
Kinematic intensities with the Lorentz-polarization factor, no thermal factor.

Atomic structure:
Cell lengths 4.920, 4.920, 15.131 Å; angles 90.00, 90.00, 90.00 degrees
Atoms (fractional coordinates):
Cs: 0.000 0.000 0.000
Tl: 0.000 0.000 0.354
Tl: 0.000 0.000 0.646
Hg: 0.000 0.500 0.194
Hg: 0.000 0.500 0.500
Hg: 0.000 0.500 0.806
Hg: 0.500 0.000 0.194
Hg: 0.500 0.000 0.500
Hg: 0.500 0.000 0.806
Hg: 0.500 0.500 0.351
Hg: 0.500 0.500 0.649

Main lines, in order of rising 2θ (10 to 90 degrees two-theta):
d = 2.864 Å, 31.23 deg, I 100.0; d = 2.561 Å, 35.04 deg, I 22.4; d = 2.522 Å, 35.60 deg, I 10.7; d = 2.460 Å, 36.53 deg, I 38.7; d = 1.761 Å, 51.93 deg, I 14.8; d = 1.739 Å, 52.62 deg, I 13.8; d = 1.624 Å, 56.69 deg, I 12.0; d = 1.487 Å, 62.47 deg, I 28.4; d = 1.439 Å, 64.79 deg, I 7.8; d = 1.388 Å, 67.51 deg, I 9.6